The following is a calculated X-ray powder pattern of CeTm2Sc3. It was derived from a crystal structure in Alexandria, relaxed with GGA-PBE, using CuKα.
Intensities are scaled so that the largest is 100.

```
CeTm2Sc3
1.0
6.4884 0.0000 0.0000
0.0000 15.2095 0.0000
0.0000 0.0000 3.3406
Ce Tm Sc
2 4 6
direct
0.0000 0.0000 0.0000
0.5000 0.5000 0.5000
0.2473 0.3363 0.0000
0.2527 0.8363 0.5000
0.7473 0.1637 0.5000
0.7527 0.6637 0.0000
0.0000 0.5000 0.5000
0.2483 0.1464 0.5000
0.2517 0.6464 0.0000
0.5000 0.0000 0.0000
0.7483 0.3536 0.0000
0.7517 0.8536 0.5000
```

Peak list (10 most intense, 2θ = 10–90°, sorted by position)
2θ/deg	intensity	(hkl)
17.97	48	1 2 0
27.18	22	1 4 0
29.94	44	2 2 0
30.67	29	1 1 1
32.09	100	0 3 1
35.41	36	0 6 0
36.40	39	2 4 0
39.16	54	2 1 1
58.08	22	2 7 1
66.70	23	4 3 1